Record 1
Simulated powder X-ray diffraction pattern
Compound: Cs3Cd5Au2
Radiation: Cu Kα (weighted mean of Kα1 and Kα2)
Structure: DFT lattice parameters and positions (PBE)

```
data_Cs3Cd5Au2
_chemical_formula_sum 'Cs12 Cd20 Au8'
_cell_length_a 11.7367
_cell_length_b 15.6631
_cell_length_c 7.6134
_cell_angle_alpha 90.00
_cell_angle_beta 90.00
_cell_angle_gamma 90.00
_space_group_name_H-M_alt 'I b a m'
_space_group_IT_number 72
_space_group_name_Hall '-I 2 2c'
loop_
_atom_site_label
_atom_site_fract_x
_atom_site_fract_y
_atom_site_fract_z
_atom_site_occupancy
Cs1 0.0000 0.0000 0.2500 1
Cs2 0.2361 0.3676 0.0000 1
Cd1 0.0000 0.2510 0.2500 1
Cd2 0.0000 0.5000 0.2500 1
Cd3 0.1218 0.3801 0.5000 1
Au1 0.1414 0.1579 0.0000 1
```

Peak list (10 most intense, 5 to 70 degrees two-theta, in order of rising 2θ)
4.950 Å, 17.92°, rel. 183
3.257 Å, 27.38°, rel. 637
3.194 Å, 27.94°, rel. 653
3.180 Å, 28.06°, rel. 691
2.729 Å, 32.81°, rel. 1000
2.348 Å, 38.33°, rel. 219
2.324 Å, 38.75°, rel. 287
2.156 Å, 41.90°, rel. 412
2.055 Å, 44.08°, rel. 201
1.904 Å, 47.78°, rel. 235

***

Record 2
Simulated powder X-ray diffraction pattern
Compound: Cs4CdAu4
Radiation: Cu Kα (weighted mean of Kα1 and Kα2)
Structure: DFT lattice parameters and positions (PBE)

```
data_Cs4CdAu4
_chemical_formula_sum 'Cs8 Cd2 Au8'
_cell_length_a 7.5133
_cell_length_b 7.5133
_cell_length_c 14.9699
_cell_angle_alpha 90.00
_cell_angle_beta 90.00
_cell_angle_gamma 90.00
_space_group_name_H-M_alt 'I -4 2 m'
_space_group_IT_number 121
_space_group_name_Hall 'I -4 2'
loop_
_atom_site_label
_atom_site_fract_x
_atom_site_fract_y
_atom_site_fract_z
_atom_site_occupancy
Cs1 0.2160 0.2160 0.1383 1
Cd1 0.0000 0.0000 0.5000 1
Au1 0.2208 0.2208 0.3862 1
```

Peak list (10 most intense, 5 to 70 degrees two-theta, in order of rising 2θ)
4.332 Å, 20.50°, rel. 114
3.752 Å, 23.72°, rel. 949
3.278 Å, 27.20°, rel. 184
2.787 Å, 32.12°, rel. 123
2.653 Å, 33.79°, rel. 1000
2.166 Å, 41.70°, rel. 216
1.809 Å, 50.45°, rel. 115
1.711 Å, 53.54°, rel. 115
1.679 Å, 54.65°, rel. 124
1.533 Å, 60.40°, rel. 140